HoBe3Ir3: computed XRD peak list (Cu Ka), based on a DFT-relaxed cell (PBE, Alexandria).
Neutral-atom scattering factors, no anomalous dispersion.

Principal peaks in the range 2θ = 5–70°, sorted by position:
d = 4.273 Å, rel. 1; d = 3.022 Å, rel. 32; d = 2.703 Å, rel. 100; d = 2.467 Å, rel. 75; d = 1.745 Å, rel. 12; d = 1.676 Å, rel. 25; d = 1.615 Å, rel. 41; d = 1.511 Å, rel. 18; d = 1.351 Å, rel. 11

Atomic structure:
a = 6.043 Å, b = 6.043 Å, c = 6.043 Å
α = 90.00°, β = 90.00°, γ = 90.00°
Atoms (fractional coordinates):
Ho (0.000, 0.000, 0.000)
Ho (0.500, 0.500, 0.500)
Be (0.000, 0.250, 0.500)
Be (0.000, 0.750, 0.500)
Be (0.250, 0.500, 0.000)
Be (0.500, 0.000, 0.250)
Be (0.500, 0.000, 0.750)
Be (0.750, 0.500, 0.000)
Ir (0.000, 0.500, 0.250)
Ir (0.000, 0.500, 0.750)
Ir (0.250, 0.000, 0.500)
Ir (0.500, 0.250, 0.000)
Ir (0.500, 0.750, 0.000)
Ir (0.750, 0.000, 0.500)

=====

Li2Al7: computed XRD peak list (Cu Ka), based on a DFT-relaxed cell (PBE, Alexandria).
Neutral-atom scattering factors, no anomalous dispersion.

Principal peaks in the range 2θ = 5–70°, sorted by position:
d = 7.157 Å, rel. 26; d = 4.239 Å, rel. 7; d = 3.647 Å, rel. 8; d = 3.578 Å, rel. 7; d = 2.447 Å, rel. 5; d = 2.386 Å, rel. 35; d = 2.316 Å, rel. 100; d = 2.020 Å, rel. 65; d = 1.444 Å, rel. 22; d = 1.413 Å, rel. 19

Atomic structure:
a = 4.895 Å, b = 4.895 Å, c = 7.157 Å
α = 90.00°, β = 90.00°, γ = 120.00°
Atoms (fractional coordinates):
Li (0.333, 0.667, 0.000)
Li (0.667, 0.333, 0.000)
Al (0.000, 0.000, 0.000)
Al (0.000, 0.331, 0.670)
Al (0.000, 0.669, 0.330)
Al (0.331, 0.000, 0.670)
Al (0.331, 0.331, 0.330)
Al (0.669, 0.000, 0.330)
Al (0.669, 0.669, 0.670)